Diffraction record for HgH3CSO3. The X-ray powder pattern is theoretical, not measured: it uses a cell relaxed with GGA-PBE and Cu Ka.
Neutral-atom scattering factors, no anomalous dispersion.

abc: 8.374 8.374 8.788
angles: 119.79 119.79 60.56
Atoms (fractional coordinates):
Hg: 0.052 0.738 0.685
Hg: 0.262 0.948 0.815
Hg: 0.738 0.052 0.185
Hg: 0.948 0.262 0.315
H: 0.031 0.636 0.201
H: 0.239 0.525 0.127
H: 0.264 0.662 0.371
H: 0.338 0.736 0.129
H: 0.364 0.969 0.299
H: 0.475 0.761 0.373
H: 0.525 0.239 0.627
H: 0.636 0.031 0.701
H: 0.662 0.264 0.871
H: 0.736 0.338 0.629
H: 0.761 0.475 0.873
H: 0.969 0.364 0.799
C: 0.189 0.568 0.241
C: 0.432 0.811 0.259
C: 0.568 0.189 0.741
C: 0.811 0.432 0.759
S: 0.248 0.354 0.277
S: 0.354 0.248 0.777
S: 0.646 0.752 0.223
S: 0.752 0.646 0.723
O: 0.151 0.224 0.104
O: 0.160 0.417 0.422
O: 0.224 0.151 0.604
O: 0.274 0.460 0.852
O: 0.417 0.160 0.922
O: 0.460 0.274 0.352
O: 0.540 0.726 0.648
O: 0.583 0.840 0.078
O: 0.726 0.540 0.148
O: 0.776 0.849 0.396
O: 0.840 0.583 0.578
O: 0.849 0.776 0.896

The 12 most intense peaks (2θ = 5–70°), low angle first:
d (Å)  I (rel.)
6.873  22
6.087  100
4.391  14
3.739  16
3.641  52
3.597  28
2.957  13
2.738  14
2.632  14
2.372  16
2.333  18
2.025  22